# Cs2SrScBr6
Computed PXRD pattern, Cu Kα. Input: the GGA-PBE geometry in Alexandria.
Kinematic intensities with the Lorentz-polarization factor, no thermal factor.

Principal peaks in the range 5° ≤ 2θ ≤ 70°, in order of rising 2θ:
hkl	2θ/deg	intensity
2 0 0	21.82	33.8
2 2 0	26.80	95.7
2 0 2	31.04	100.0
4 0 0	44.48	71.1
4 2 2	52.69	40.9
4 4 0	55.23	24.3

Cell: 8.147 11.524 8.149 Å, 90.00 90.00 90.00°
Space group Pmmn (No. 59, origin choice 2)
One atom of each set of equivalent atoms:
Cs1 0.250 0.000 0.250
Sr1 0.250 0.250 0.749
Sc1 0.250 0.750 0.751
Br1 0.011 0.750 0.512
Br2 0.011 0.750 0.990
Br3 0.250 0.511 0.750

# Ba2MgAu
Computed PXRD pattern, Cu Kα. Input: the GGA-PBE geometry in Alexandria.
Kinematic intensities with the Lorentz-polarization factor, no thermal factor.

Principal peaks in the range 5° ≤ 2θ ≤ 70°, in order of rising 2θ:
hkl	2θ/deg	intensity
0 0 1	9.53	69.6
1 0 0	22.00	88.4
1 0 1	24.02	99.6
1 0 2	29.31	100.0
0 1 3	36.58	91.1
1 1 0	38.60	70.5

Cell: 4.6653 4.6653 9.2820 Å, 90.00 90.00 120.00°
Space group P3m1 (No. 156)
One atom of each set of equivalent atoms:
Ba1 0.0000 0.0000 0.0000
Ba2 0.3333 0.6667 0.4232
Mg1 0.6667 0.3333 0.7106
Au1 0.3333 0.6667 0.7816

# K3In2Hg9
Computed PXRD pattern, Cu Kα. Input: the GGA-PBE geometry in Alexandria.
Kinematic intensities with the Lorentz-polarization factor, no thermal factor.

Principal peaks in the range 5° ≤ 2θ ≤ 70°, in order of rising 2θ:
hkl	2θ/deg	intensity
1 1 0	18.73	61.1
1 2 3	29.75	63.4
1 3 2	33.20	57.9
2 0 0	33.56	84.5
0 0 6	34.90	47.2
1 3 4	39.03	100.0

Cell: 5.341 10.261 15.425 Å, 90.00 90.00 90.00°
Space group Immm (No. 71)
One atom of each set of equivalent atoms:
K1 0.000 0.000 0.000
K2 0.000 0.000 0.283
In1 0.000 0.168 0.500
Hg1 0.000 0.295 0.145
Hg2 0.000 0.354 0.343
Hg3 0.000 0.500 0.000

# Pm3ZnGa2Ni6
Computed PXRD pattern, Cu Kα. Input: the GGA-PBE geometry in Alexandria.
Kinematic intensities with the Lorentz-polarization factor, no thermal factor.

Principal peaks in the range 5° ≤ 2θ ≤ 70°, in order of rising 2θ:
hkl	2θ/deg	intensity
0 1 2	28.82	75.0
0 0 3	32.32	42.4
1 1 0	33.38	94.6
1 1 2	39.99	93.2
0 2 1	40.28	100.0
2 0 2	44.67	79.0

Cell: 5.3690 5.3690 8.3093 Å, 90.00 90.00 120.00°
Space group P-3m1 (No. 164)
One atom of each set of equivalent atoms:
Pm1 0.0000 0.0000 0.0000
Pm2 0.3333 0.6667 0.6234
Zn1 0.0000 0.0000 0.5000
Ga1 0.3333 0.6667 0.0266
Ni1 0.1780 0.3561 0.2764

# AcBiH8Ru2
Computed PXRD pattern, Cu Kα. Input: the GGA-PBE geometry in Alexandria.
Kinematic intensities with the Lorentz-polarization factor, no thermal factor.

Principal peaks in the range 5° ≤ 2θ ≤ 70°, in order of rising 2θ:
hkl	2θ/deg	intensity
0 1 2	22.61	40.7
1 0 4	28.49	100.0
1 1 0	35.56	88.2
0 2 4	46.18	27.9
1 1 6	47.08	43.5
1 0 10	55.27	26.6

Cell: 5.0494 5.0494 17.9672 Å, 90.00 90.00 120.00°
Space group R-3 (No. 148, hexagonal axes)
One atom of each set of equivalent atoms:
Ac1 0.0000 0.0000 0.0000
Bi1 0.0000 0.0000 0.5000
H1 0.0000 0.0000 0.2999
H2 0.0565 0.5293 0.5493
Ru1 0.0000 0.0000 0.2038

# SmScN
Computed PXRD pattern, Cu Kα. Input: the GGA-PBE geometry in Alexandria.
Kinematic intensities with the Lorentz-polarization factor, no thermal factor.

Principal peaks in the range 5° ≤ 2θ ≤ 70°, in order of rising 2θ:
hkl	2θ/deg	intensity
0 0 1	14.85	49.1
0 0 2	29.95	22.3
1 0 0	30.49	33.0
1 0 1	34.07	100.0
1 0 2	43.27	37.1
0 1 3	55.86	21.1

Cell: 3.3855 3.3855 5.9662 Å, 90.00 90.00 120.00°
Space group P3m1 (No. 156)
One atom of each set of equivalent atoms:
Sm1 0.0000 0.0000 0.0000
Sc1 0.6667 0.3333 0.5635
N1 0.3333 0.6667 0.7364

# CaNdCuRh
Computed PXRD pattern, Cu Kα. Input: the GGA-PBE geometry in Alexandria.
Kinematic intensities with the Lorentz-polarization factor, no thermal factor.

Principal peaks in the range 5° ≤ 2θ ≤ 70°, in order of rising 2θ:
hkl	2θ/deg	intensity
0 0 2	15.97	52.6
1 1 1	31.95	100.0
0 1 3	32.95	30.9
1 0 4	38.93	30.5
1 1 3	39.53	73.6
2 0 0	43.20	24.1

Cell: 4.188 4.005 11.102 Å, 90.00 90.00 90.00°
Space group Amm2 (No. 38)
One atom of each set of equivalent atoms:
Ca1 0.000 0.000 0.000
Nd1 0.500 0.000 0.720
Cu1 0.500 0.000 0.428
Rh1 0.000 0.000 0.283

# LiTmNb4N8
Computed PXRD pattern, Cu Kα. Input: the GGA-PBE geometry in Alexandria.
Kinematic intensities with the Lorentz-polarization factor, no thermal factor.

Principal peaks in the range 5° ≤ 2θ ≤ 70°, in order of rising 2θ:
hkl	2θ/deg	intensity
0 0 3	17.11	19.6
1 0 4	28.12	52.0
0 2 1	33.12	100.0
2 1 4	49.79	20.4
0 2 7	53.03	36.0
2 2 0	58.17	32.5

Cell: 6.3410 6.3410 15.5556 Å, 90.00 90.00 120.00°
Space group R3m (No. 160, hexagonal axes)
One atom of each set of equivalent atoms:
Li1 0.0000 0.0000 0.0000
Tm1 0.0000 0.0000 0.6188
Nb1 0.0000 0.0000 0.3756
Nb2 0.0111 0.5055 0.5025
N1 0.0000 0.0000 0.2393
N2 0.0000 0.0000 0.7598
N3 0.1682 0.3364 0.0889
N4 0.1856 0.3711 0.5696

# Li3ThNi3
Computed PXRD pattern, Cu Kα. Input: the GGA-PBE geometry in Alexandria.
Kinematic intensities with the Lorentz-polarization factor, no thermal factor.

Principal peaks in the range 5° ≤ 2θ ≤ 70°, in order of rising 2θ:
hkl	2θ/deg	intensity
1 1 0	20.63	52.6
2 0 0	29.33	43.2
2 1 0	32.89	21.9
2 1 1	36.13	100.0
3 2 1	56.54	55.4
4 2 0	68.96	15.2

Cell: 6.090 6.090 6.090 Å, 90.00 90.00 90.00°
Space group Pm-3n (No. 223)
One atom of each set of equivalent atoms:
Li1 0.000 0.250 0.500
Th1 0.000 0.000 0.000
Ni1 0.000 0.500 0.250